Entry 1:
# Sm5TcAu2
Computed PXRD pattern, copper Kα. Input: a crystal structure in Alexandria, relaxed with PBE.
Lines closer than 0.1° are merged.

Structural model:
```
data_Sm5TcAu2
_chemical_formula_sum 'Sm10 Tc2 Au4'
_space_group_name_H-M_alt 'P b a m'
_space_group_IT_number 55
_space_group_name_Hall '-P 2 2ab'
_cell_length_a 7.8706
_cell_length_b 11.9339
_cell_length_c 4.6018
_cell_angle_alpha 90.00
_cell_angle_beta 90.00
_cell_angle_gamma 90.00
loop_
_atom_site_label
_atom_site_type_symbol
_atom_site_fract_x
_atom_site_fract_y
_atom_site_fract_z
_atom_site_occupancy
Sm1 Sm 0.0000 0.0000 0.0000 1
Sm2 Sm 0.1524 0.2953 0.0000 1
Sm3 Sm 0.1831 0.5778 0.5000 1
Tc1 Tc 0.0000 0.5000 0.0000 1
Au1 Au 0.0678 0.8328 0.5000 1
```

Peak list (10 most intense, 2θ from 15° to 90°, in order of rising 2θ)
hkl 1 2 1, 2θ = 27.0°, I = 17
hkl 2 1 1, 2θ = 30.8°, I = 100
hkl 1 3 1, 2θ = 31.8°, I = 70
hkl 1 4 0, 2θ = 32.1°, I = 61
hkl 2 2 1, 2θ = 33.5°, I = 67
hkl 3 1 0, 2θ = 35.0°, I = 17
hkl 0 4 1, 2θ = 35.9°, I = 39
hkl 0 0 2, 2θ = 39.2°, I = 51
hkl 2 3 2, 2θ = 51.4°, I = 15
hkl 2 6 0, 2θ = 51.5°, I = 37

Entry 2:
# K2NpCuI6
Computed PXRD pattern, copper Kα. Input: a crystal structure in Alexandria, relaxed with PBE.
Lines closer than 0.1° are merged.

Structural model:
```
data_K2NpCuI6
_chemical_formula_sum 'K4 Np2 Cu2 I12'
_space_group_name_H-M_alt 'P 1 21/c 1'
_space_group_IT_number 14
_space_group_name_Hall '-P 2ybc'
_cell_length_a 8.4792
_cell_length_b 9.4672
_cell_length_c 13.5400
_cell_angle_alpha 90.00
_cell_angle_beta 127.89
_cell_angle_gamma 90.00
loop_
_atom_site_label
_atom_site_type_symbol
_atom_site_fract_x
_atom_site_fract_y
_atom_site_fract_z
_atom_site_occupancy
K1 K 0.2176 0.1007 0.2465 1
Np1 Np 0.0000 0.0000 0.5000 1
Cu1 Cu 0.5000 0.0000 0.0000 1
I1 I 0.1156 0.2129 0.9511 1
I2 I 0.2500 0.6650 0.9432 1
I3 I 0.3906 0.0320 0.7838 1
```

Peak list (10 most intense, 2θ from 15° to 90°, in order of rising 2θ)
hkl 0 0 2, 2θ = 16.6°, I = 68
hkl 2 1 -2, 2θ = 23.0°, I = 82
hkl 2 1 -3, 2θ = 24.6°, I = 56
hkl 1 0 2, 2θ = 27.0°, I = 100
hkl 2 2 -2, 2θ = 28.3°, I = 99
hkl 1 3 -1, 2θ = 30.2°, I = 97
hkl 1 3 -2, 2θ = 31.4°, I = 48
hkl 2 2 -4, 2θ = 33.1°, I = 40
hkl 3 1 -1, 2θ = 37.0°, I = 59
hkl 2 3 1, 2θ = 43.7°, I = 49

Entry 3:
# TmAgSn3
Computed PXRD pattern, copper Kα. Input: a crystal structure in Alexandria, relaxed with PBE.
Lines closer than 0.1° are merged.

Structural model:
```
data_TmAgSn3
_chemical_formula_sum 'Tm4 Ag4 Sn12'
_space_group_name_H-M_alt 'P b c m'
_space_group_IT_number 57
_space_group_name_Hall '-P 2c 2b'
_cell_length_a 12.7191
_cell_length_b 6.2110
_cell_length_c 6.1763
_cell_angle_alpha 90.00
_cell_angle_beta 90.00
_cell_angle_gamma 90.00
loop_
_atom_site_label
_atom_site_type_symbol
_atom_site_fract_x
_atom_site_fract_y
_atom_site_fract_z
_atom_site_occupancy
Tm1 Tm 0.1904 0.0095 0.2500 1
Ag1 Ag 0.3856 0.2500 0.0000 1
Sn1 Sn 0.0012 0.7500 0.0000 1
Sn2 Sn 0.2350 0.5126 0.2500 1
Sn3 Sn 0.4236 0.6521 0.7500 1
```

Peak list (10 most intense, 2θ from 15° to 90°, in order of rising 2θ)
hkl 2 2 0, 2θ = 32.1°, I = 100
hkl 2 0 2, 2θ = 32.2°, I = 63
hkl 4 1 1, 2θ = 34.9°, I = 36
hkl 5 0 0, 2θ = 35.3°, I = 77
hkl 2 1 2, 2θ = 35.4°, I = 39
hkl 3 2 0, 2θ = 35.8°, I = 61
hkl 3 0 2, 2θ = 36.0°, I = 68
hkl 0 2 2, 2θ = 41.2°, I = 73
hkl 5 2 2, 2θ = 55.4°, I = 45
hkl 5 0 4, 2θ = 71.5°, I = 33

Entry 4:
# KInSb
Computed PXRD pattern, copper Kα. Input: a crystal structure in Alexandria, relaxed with PBE.
Lines closer than 0.1° are merged.

Structural model:
```
data_KInSb
_chemical_formula_sum 'K4 In4 Sb4'
_space_group_name_H-M_alt 'C 1 2/m 1'
_space_group_IT_number 12
_space_group_name_Hall '-C 2y'
_cell_length_a 12.0734
_cell_length_b 4.6123
_cell_length_c 8.7336
_cell_angle_alpha 90.00
_cell_angle_beta 121.43
_cell_angle_gamma 90.00
loop_
_atom_site_label
_atom_site_type_symbol
_atom_site_fract_x
_atom_site_fract_y
_atom_site_fract_z
_atom_site_occupancy
K1 K 0.0611 0.0000 0.3450 1
In1 In 0.1401 0.5000 0.0473 1
Sb1 Sb 0.1966 0.5000 0.7500 1
```

Peak list (10 most intense, 2θ from 15° to 90°, in order of rising 2θ)
hkl 2 0 0, 2θ = 17.2°, I = 28
hkl 1 1 0, 2θ = 21.1°, I = 26
hkl 1 1 1, 2θ = 26.4°, I = 100
hkl 4 0 -2, 2θ = 30.2°, I = 32
hkl 2 0 -3, 2θ = 30.7°, I = 31
hkl 3 1 0, 2θ = 32.5°, I = 76
hkl 4 0 -3, 2θ = 34.7°, I = 29
hkl 1 1 -3, 2θ = 37.9°, I = 37
hkl 0 2 0, 2θ = 39.1°, I = 36
hkl 5 1 -2, 2θ = 42.3°, I = 25

Entry 5:
# CdMo
Computed PXRD pattern, copper Kα. Input: a crystal structure in Alexandria, relaxed with PBE.
Lines closer than 0.1° are merged.

Structural model:
```
data_CdMo
_chemical_formula_sum 'Cd4 Mo4'
_space_group_name_H-M_alt 'C m m e'
_space_group_IT_number 67
_space_group_name_Hall '-C 2a 2'
_cell_length_a 3.2279
_cell_length_b 4.6973
_cell_length_c 9.7876
_cell_angle_alpha 90.00
_cell_angle_beta 90.00
_cell_angle_gamma 90.00
loop_
_atom_site_label
_atom_site_type_symbol
_atom_site_fract_x
_atom_site_fract_y
_atom_site_fract_z
_atom_site_occupancy
Cd1 Cd 0.0000 0.2500 0.1424 1
Mo1 Mo 0.0000 0.2500 0.6032 1
```

Peak list (10 most intense, 2θ from 15° to 90°, in order of rising 2θ)
hkl 0 0 4, 2θ = 36.7°, I = 24
hkl 0 2 0, 2θ = 38.3°, I = 27
hkl 1 1 2, 2θ = 38.5°, I = 100
hkl 0 2 4, 2θ = 54.1°, I = 15
hkl 2 0 0, 2θ = 57.1°, I = 8
hkl 1 1 5, 2θ = 58.5°, I = 7
hkl 1 1 6, 2θ = 67.3°, I = 11
hkl 1 3 2, 2θ = 69.4°, I = 17
hkl 2 2 0, 2θ = 70.8°, I = 8
hkl 2 2 4, 2θ = 82.5°, I = 9